1.
The following is a computed PXRD pattern of Pm12HoSc6. It was derived from the PBE geometry in Alexandria, using λ = 1.5418 Å (Cu Kα).

Cell and atoms:
```
19
Lattice="-5.3116 5.3116 5.3116 5.3116 -5.3116 5.3116 5.3116 5.3116 -5.3116" Properties=species:S:1:pos:R:3 pbc="T T T"
Pm 5.3116 -2.4590 3.2040
Pm 2.8526 2.1076 0.0000
Pm 7.7706 2.1076 0.0000
Pm 3.2040 5.3116 -2.4590
Pm 2.1076 0.0000 2.8526
Pm 0.0000 2.8526 2.1076
Pm 5.3116 2.4590 3.2040
Pm 3.2040 5.3116 2.4590
Pm 2.1076 0.0000 7.7706
Pm -2.4590 3.2040 5.3116
Pm 2.4590 3.2040 5.3116
Pm 0.0000 7.7706 2.1076
Ho 0.0000 0.0000 0.0000
Sc 5.3116 0.0000 1.4652
Sc 5.3116 3.8464 0.0000
Sc 1.4652 5.3116 0.0000
Sc 3.8464 0.0000 5.3116
Sc 0.0000 1.4652 5.3116
Sc 0.0000 5.3116 3.8464
```

Principal peaks in the range 2θ from 15° to 90°, in order of falling intensity:
d [Å], I (rel.)
3.067, 100
2.839, 97
2.656, 54
1.723, 36
1.822, 24
1.502, 23
3.359, 19
2.504, 17
2.083, 16
1.120, 16

***

2.
The following is a computed PXRD pattern of CsCl2F4. It was derived from the PBE geometry in Alexandria, using λ = 1.5418 Å (Cu Kα).

Cell and atoms:
```
14
Lattice="0.0000 7.1103 3.3067 7.0912 0.0000 3.3067 7.0912 7.1103 0.0000" Properties=species:S:1:pos:R:3 pbc="T T T"
Cs 0.0000 0.0000 0.0000
Cs 3.5456 3.5552 1.6534
Cl 9.4525 5.9186 2.4827
Cl 5.9069 4.7469 4.1361
Cl 4.7299 8.3021 2.4827
Cl 8.2756 9.4738 4.1361
F 6.2077 5.0915 2.3755
F 11.5204 8.6467 4.0288
F 9.1029 6.2136 4.2410
F 7.9748 9.1292 2.3755
F 12.6485 11.5623 5.8944
F 9.7533 12.6843 4.0288
F 5.0796 8.0071 4.2410
F 8.6252 9.7687 5.8944
```

Principal peaks in the range 2θ from 15° to 90°, in order of falling intensity:
d [Å], I (rel.)
3.715, 100
2.290, 42
2.567, 39
5.021, 36
2.998, 33
2.245, 32
2.987, 31
3.176, 28
5.523, 23
2.153, 16

***

Which formula does entry 1 have? Pm12HoSc6